# 1
# Hf2ReIr
Simulated X-ray powder pattern, Cu Ka. Input: a GGA-PBE-relaxed structure.
No peak broadening, texture or thermal motion is included.

Cell and atoms:
Lattice parameters (Å, degrees): 4.627 4.627 4.627 60.00 60.00 60.00
Sites, in units of the cell vectors:
Hf 0.250 0.250 0.250
Hf 0.750 0.750 0.750
Re 0.000 0.000 0.000
Ir 0.500 0.500 0.500

Top 4 peaks for 2θ = 10–90°, in order of rising 2θ:
d_spacing, intensity
2.314, 100
1.636, 17
1.336, 36
1.157, 11



# 2
# RbGe
Simulated X-ray powder pattern, Cu Ka. Input: a GGA-PBE-relaxed structure.
No peak broadening, texture or thermal motion is included.

Cell and atoms:
Lattice parameters (Å, degrees): 12.055 12.055 12.055 124.70 124.70 82.04
Sites, in units of the cell vectors:
Rb 0.005 0.255 0.509
Rb 0.109 0.750 0.859
Rb 0.245 0.495 0.991
Rb 0.250 0.109 0.859
Rb 0.250 0.609 0.359
Rb 0.255 0.245 0.250
Rb 0.391 0.250 0.641
Rb 0.495 0.005 0.250
Rb 0.505 0.995 0.750
Rb 0.609 0.750 0.359
Rb 0.745 0.755 0.750
Rb 0.750 0.391 0.641
Rb 0.750 0.891 0.141
Rb 0.755 0.505 0.009
Rb 0.891 0.250 0.141
Rb 0.995 0.745 0.491
Ge 0.015 0.723 0.090
Ge 0.075 0.985 0.208
Ge 0.133 0.925 0.410
Ge 0.223 0.515 0.590
Ge 0.277 0.867 0.292
Ge 0.367 0.777 0.792
Ge 0.425 0.633 0.910
Ge 0.485 0.575 0.708
Ge 0.515 0.425 0.292
Ge 0.575 0.367 0.090
Ge 0.633 0.223 0.208
Ge 0.723 0.133 0.708
Ge 0.777 0.485 0.410
Ge 0.867 0.075 0.590
Ge 0.925 0.015 0.792
Ge 0.985 0.277 0.910

Top 10 peaks for 2θ = 10–90°, in order of rising 2θ:
d_spacing, intensity
5.969, 33
3.859, 29
3.529, 29
3.059, 100
2.943, 89
2.796, 35
2.674, 34
2.361, 22
1.661, 21
1.623, 24



# 3
# Gd4B3C4
Simulated X-ray powder pattern, Cu Ka. Input: a GGA-PBE-relaxed structure.
No peak broadening, texture or thermal motion is included.

Cell and atoms:
Lattice parameters (Å, degrees): 3.616 3.667 12.006 92.64 98.30 90.19
Sites, in units of the cell vectors:
Gd 0.106 0.446 0.137
Gd 0.291 0.023 0.651
Gd 0.709 0.977 0.349
Gd 0.894 0.554 0.863
B 0.293 0.492 0.455
B 0.500 0.000 0.000
B 0.707 0.508 0.545
C 0.202 0.472 0.330
C 0.403 0.057 0.878
C 0.597 0.943 0.122
C 0.798 0.528 0.670

Top 10 peaks for 2θ = 10–90°, in order of rising 2θ:
d_spacing, intensity
3.454, 51
3.281, 58
2.967, 86
2.885, 54
2.753, 70
2.627, 46
2.562, 41
2.550, 100
2.465, 38
1.809, 50